1.
Diffraction record for CdFeIr. The PXRD pattern is theoretical, not measured: it uses a structure optimized by DFT (PBE) and Cu Kα, 1.54184 Å.
Lines closer than 0.1° are merged.

Top 10 peaks for 5° ≤ 2θ ≤ 70°, most intense first:
2θ = 39.44°, intensity 100
2θ = 43.55°, intensity 40
2θ = 31.53°, intensity 22
2θ = 16.27°, intensity 19
2θ = 68.64°, intensity 15
2θ = 63.28°, intensity 13
2θ = 50.25°, intensity 10
2θ = 32.89°, intensity 10
2θ = 55.63°, intensity 9
2θ = 68.19°, intensity 9

Atomic structure:
Cell: 2.9391 2.9391 10.8935 Å, 90.00 90.00 90.00°
Space group I4mm (No. 107)
Inequivalent atoms, fractional coordinates:
Cd 0.0000 0.0000 0.0000 (multiplicity 2)
Fe 0.0000 0.0000 0.6808 (multiplicity 2)
Ir 0.0000 0.0000 0.3116 (multiplicity 2)

2.
Diffraction record for LuP3O9. The PXRD pattern is theoretical, not measured: it uses a structure optimized by DFT (PBE) and Cu Kα, 1.54184 Å.
Lines closer than 0.1° are merged.

Top 10 peaks for 5° ≤ 2θ ≤ 70°, most intense first:
2θ = 21.51°, intensity 100
2θ = 15.83°, intensity 50
2θ = 17.76°, intensity 28
2θ = 23.20°, intensity 27
2θ = 29.91°, intensity 23
2θ = 30.83°, intensity 21
2θ = 25.34°, intensity 19
2θ = 24.30°, intensity 17
2θ = 34.69°, intensity 15
2θ = 34.37°, intensity 13

Atomic structure:
Cell: 14.1660 6.7610 10.0797 Å, 90.00 127.20 90.00°
Space group Cc (No. 9)
Inequivalent atoms, fractional coordinates:
Lu 0.0000 0.2368 0.0000 (multiplicity 4)
P 0.1502 0.1029 0.8354 (multiplicity 4)
P 0.2433 0.4251 0.7316 (multiplicity 4)
P 0.3515 0.0913 0.6668 (multiplicity 4)
O 0.0510 0.1318 0.8477 (multiplicity 4)
O 0.1294 0.0420 0.2076 (multiplicity 4)
O 0.1515 0.4336 0.1047 (multiplicity 4)
O 0.1855 0.3143 0.8071 (multiplicity 4)
O 0.2570 0.2574 0.6308 (multiplicity 4)
O 0.2701 0.0567 0.0154 (multiplicity 4)
O 0.3620 0.4941 0.3719 (multiplicity 4)
O 0.3971 0.0180 0.3246 (multiplicity 4)
O 0.4398 0.1797 0.6478 (multiplicity 4)

3.
Diffraction record for Na2ErReN4. The PXRD pattern is theoretical, not measured: it uses a structure optimized by DFT (PBE) and Cu Kα, 1.54184 Å.
Lines closer than 0.1° are merged.

Top 10 peaks for 5° ≤ 2θ ≤ 70°, most intense first:
2θ = 17.05°, intensity 100
2θ = 32.12°, intensity 96
2θ = 30.49°, intensity 84
2θ = 15.11°, intensity 83
2θ = 34.49°, intensity 68
2θ = 26.07°, intensity 62
2θ = 53.60°, intensity 44
2θ = 29.52°, intensity 38
2θ = 19.58°, intensity 32
2θ = 61.28°, intensity 31

Atomic structure:
Cell: 7.0648 7.6847 9.0698 Å, 90.00 90.00 90.00°
Space group Ima2 (No. 46)
Inequivalent atoms, fractional coordinates:
Na 0.0000 0.0000 0.0000 (multiplicity 4)
Na 0.2500 0.1903 0.3054 (multiplicity 4)
Er 0.0000 0.0000 0.6141 (multiplicity 4)
Re 0.2500 0.7311 0.7894 (multiplicity 4)
N 0.0384 0.7105 0.6788 (multiplicity 8)
N 0.2500 0.5261 0.3117 (multiplicity 4)
N 0.2500 0.5683 0.9476 (multiplicity 4)

4.
Diffraction record for Sm8TmSn6. The PXRD pattern is theoretical, not measured: it uses a structure optimized by DFT (PBE) and Cu Kα, 1.54184 Å.
Lines closer than 0.1° are merged.

Top 10 peaks for 5° ≤ 2θ ≤ 70°, most intense first:
2θ = 33.74°, intensity 100
2θ = 33.55°, intensity 93
2θ = 60.22°, intensity 35
2θ = 23.62°, intensity 34
2θ = 48.32°, intensity 34
2θ = 60.35°, intensity 19
2θ = 59.86°, intensity 18
2θ = 43.85°, intensity 13
2θ = 19.29°, intensity 11
2θ = 13.49°, intensity 8

Atomic structure:
Cell: 9.2027 9.2027 19.6856 Å, 90.00 90.00 120.00°
Space group R-3 (No. 148, hexagonal axes)
Inequivalent atoms, fractional coordinates:
Sm 0.0000 0.0000 0.1664 (multiplicity 6)
Sm 0.0005 0.3360 0.3954 (multiplicity 18)
Tm 0.0000 0.0000 0.5000 (multiplicity 3)
Sn 0.0001 0.3287 0.5670 (multiplicity 18)

5.
Diffraction record for RbPuBeO6. The PXRD pattern is theoretical, not measured: it uses a structure optimized by DFT (PBE) and Cu Kα, 1.54184 Å.
Lines closer than 0.1° are merged.

Top 10 peaks for 5° ≤ 2θ ≤ 70°, most intense first:
2θ = 23.73°, intensity 100
2θ = 14.31°, intensity 84
2θ = 19.57°, intensity 59
2θ = 23.24°, intensity 58
2θ = 23.39°, intensity 56
2θ = 19.77°, intensity 55
2θ = 25.18°, intensity 42
2θ = 24.95°, intensity 41
2θ = 28.84°, intensity 33
2θ = 43.46°, intensity 31

Atomic structure:
Cell: 5.1111 5.4507 6.2034 Å, 88.01 86.36 62.74°
Space group P1 (No. 1)
Inequivalent atoms, fractional coordinates:
Rb 0.0000 0.0000 0.0000 (multiplicity 1)
Pu 0.2795 0.4317 0.4994 (multiplicity 1)
Be 0.5838 0.8667 0.4930 (multiplicity 1)
O 0.0679 0.4640 0.7558 (multiplicity 1)
O 0.3006 0.0706 0.3565 (multiplicity 1)
O 0.4016 0.7327 0.6226 (multiplicity 1)
O 0.4691 0.4543 0.2450 (multiplicity 1)
O 0.6148 0.1207 0.6274 (multiplicity 1)
O 0.8993 0.6826 0.3716 (multiplicity 1)

6.
Diffraction record for Ac5Pr6Sm. The PXRD pattern is theoretical, not measured: it uses a structure optimized by DFT (PBE) and Cu Kα, 1.54184 Å.
Lines closer than 0.1° are merged.

Top 10 peaks for 5° ≤ 2θ ≤ 70°, most intense first:
2θ = 28.60°, intensity 100
2θ = 32.92°, intensity 35
2θ = 56.16°, intensity 31
2θ = 47.74°, intensity 25
2θ = 33.59°, intensity 16
2θ = 57.04°, intensity 15
2θ = 59.21°, intensity 13
2θ = 47.25°, intensity 13
2θ = 16.61°, intensity 3
2θ = 23.12°, intensity 3

Atomic structure:
Cell: 5.4469 10.6718 16.3078 Å, 90.00 90.00 90.00°
Space group Immm (No. 71)
Inequivalent atoms, fractional coordinates:
Ac 0.0000 0.0000 0.0000 (multiplicity 2)
Ac 0.0000 0.0000 0.3369 (multiplicity 4)
Ac 0.0000 0.5000 0.3332 (multiplicity 4)
Pr 0.0000 0.2470 0.5000 (multiplicity 4)
Pr 0.0000 0.2523 0.1651 (multiplicity 8)
Sm 0.0000 0.5000 0.0000 (multiplicity 2)

7.
Diffraction record for SiBH. The PXRD pattern is theoretical, not measured: it uses a structure optimized by DFT (PBE) and Cu Kα, 1.54184 Å.
Lines closer than 0.1° are merged.

Top 10 peaks for 5° ≤ 2θ ≤ 70°, most intense first:
2θ = 30.75°, intensity 100
2θ = 16.72°, intensity 68
2θ = 24.51°, intensity 59
2θ = 24.26°, intensity 54
2θ = 34.02°, intensity 44
2θ = 25.62°, intensity 43
2θ = 34.56°, intensity 42
2θ = 43.51°, intensity 42
2θ = 43.07°, intensity 41
2θ = 55.71°, intensity 33

Atomic structure:
Cell: 3.8880 3.4768 5.6191 Å, 90.00 109.36 90.00°
Space group P2/m (No. 10)
Inequivalent atoms, fractional coordinates:
Si 0.1874 0.0000 0.3689 (multiplicity 2)
B 0.0879 0.5000 0.1701 (multiplicity 2)
H 0.2476 0.5000 0.9948 (multiplicity 2)